Computed powder XRD pattern of Pm7SiPb2 for Cu Kα (λ = 1.5418 Å), from a crystal structure in Alexandria, relaxed with PBE.

Main lines, by angle (10° ≤ 2θ ≤ 90°):
d_spacing  Position (°2θ)  I/Imax
3.201  27.87  100
2.772  32.29  89
1.960  46.32  66
1.672  54.93  46
1.600  57.59  23
1.240  76.91  29

Structural model:
```
data_Pm7SiPb2
_space_group_name_H-M_alt 'F m -3 m'
_space_group_IT_number 225
_space_group_name_Hall '-F 4 2 3'
_cell_length_a 11.0880
_cell_length_b 11.0880
_cell_length_c 11.0880
_cell_angle_alpha 90.00
_cell_angle_beta 90.00
_cell_angle_gamma 90.00
loop_
_atom_site_label
_atom_site_fract_x
_atom_site_fract_y
_atom_site_fract_z
Pm1 0.0000 0.0000 0.0000
Pm2 0.0000 0.0000 0.2554
Si1 0.0000 0.0000 0.5000
Pb1 0.2500 0.2500 0.2500
```